[1]
For P3RuO9, a cell relaxed with PBE gives the theoretical PXRD pattern in this record (Cu Kα).
Kinematic intensities with the Lorentz-polarization factor, no thermal factor.

Crystal structure
Lattice parameters (Å, degrees): 5.154 7.151 10.519 98.45 91.94 91.84
Element x y z (fractional)
P: 0.001 0.344 0.144
P: 0.020 0.947 0.677
P: 0.261 0.698 0.268
P: 0.739 0.302 0.732
P: 0.980 0.053 0.323
P: 0.999 0.656 0.856
Ru: 0.500 0.000 0.500
Ru: 0.500 0.500 0.000
O: 0.021 0.837 0.265
O: 0.042 0.151 0.199
O: 0.112 0.497 0.264
O: 0.167 0.342 0.029
O: 0.173 0.123 0.432
O: 0.288 0.634 0.874
O: 0.305 0.923 0.652
O: 0.408 0.739 0.396
O: 0.412 0.705 0.148
O: 0.588 0.295 0.852
O: 0.592 0.261 0.604
O: 0.695 0.077 0.348
O: 0.712 0.366 0.126
O: 0.827 0.877 0.568
O: 0.833 0.658 0.971
O: 0.888 0.503 0.736
O: 0.958 0.849 0.801
O: 0.979 0.163 0.735

Most intense lines, 10 to 90 degrees two-theta, sorted by position:
| Position (°2θ) | Rel. int. |
| --- | --- |
| 14.07 | 100 |
| 16.17 | 70 |
| 22.20 | 32 |
| 23.85 | 29 |
| 24.81 | 20 |
| 31.84 | 17 |
| 32.68 | 14 |
| 33.22 | 15 |

=====

[2]
For P3RuO9, a cell relaxed with PBE gives the theoretical PXRD pattern in this record (Cu Kα).
Kinematic intensities with the Lorentz-polarization factor, no thermal factor.

Crystal structure
Lattice parameters (Å, degrees): 7.453 7.453 9.551 122.39 122.39 52.38
Element x y z (fractional)
P: 0.051 0.949 0.750
P: 0.292 0.481 0.821
P: 0.481 0.292 0.321
P: 0.519 0.708 0.679
P: 0.708 0.519 0.179
P: 0.949 0.051 0.250
Ru: 0.000 0.500 0.000
Ru: 0.500 0.000 0.500
O: 0.035 0.167 0.908
O: 0.137 0.752 0.823
O: 0.147 0.406 0.823
O: 0.167 0.035 0.408
O: 0.248 0.863 0.677
O: 0.337 0.390 0.170
O: 0.390 0.337 0.670
O: 0.406 0.147 0.323
O: 0.500 0.500 0.000
O: 0.500 0.500 0.500
O: 0.594 0.853 0.677
O: 0.610 0.663 0.330
O: 0.663 0.610 0.830
O: 0.752 0.137 0.323
O: 0.833 0.965 0.592
O: 0.853 0.594 0.177
O: 0.863 0.248 0.177
O: 0.965 0.833 0.092

Most intense lines, 10 to 90 degrees two-theta, sorted by position:
| Position (°2θ) | Rel. int. |
| --- | --- |
| 16.42 | 35 |
| 18.78 | 18 |
| 22.38 | 100 |
| 25.55 | 26 |
| 26.88 | 13 |
| 31.49 | 21 |
| 31.91 | 18 |
| 36.00 | 16 |

=====

[3]
For P3RuO9, a cell relaxed with PBE gives the theoretical PXRD pattern in this record (Cu Kα).
Kinematic intensities with the Lorentz-polarization factor, no thermal factor.

Crystal structure
Lattice parameters (Å, degrees): 6.393 15.563 8.492 90.00 106.43 90.00
Element x y z (fractional)
P: 0.091 0.114 0.294
P: 0.091 0.386 0.794
P: 0.291 0.660 0.485
P: 0.291 0.840 0.985
P: 0.349 0.544 0.778
P: 0.349 0.956 0.278
P: 0.651 0.044 0.722
P: 0.651 0.456 0.222
P: 0.709 0.160 0.015
P: 0.709 0.340 0.515
P: 0.909 0.614 0.206
P: 0.909 0.886 0.706
Ru: 0.380 0.636 0.125
Ru: 0.380 0.864 0.625
Ru: 0.620 0.136 0.375
Ru: 0.620 0.364 0.875
O: 0.036 0.653 0.384
O: 0.036 0.847 0.884
O: 0.056 0.611 0.096
O: 0.056 0.889 0.596
O: 0.137 0.016 0.246
O: 0.137 0.484 0.746
O: 0.300 0.163 0.357
O: 0.300 0.337 0.857
O: 0.314 0.735 0.598
O: 0.314 0.765 0.098
O: 0.321 0.622 0.877
O: 0.321 0.878 0.377
O: 0.328 0.574 0.594
O: 0.328 0.926 0.094
O: 0.436 0.652 0.374
O: 0.436 0.848 0.874
O: 0.443 0.507 0.161
O: 0.443 0.993 0.661
O: 0.557 0.007 0.339
O: 0.557 0.493 0.839
O: 0.564 0.152 0.126
O: 0.564 0.348 0.626
O: 0.672 0.074 0.906
O: 0.672 0.426 0.406
O: 0.679 0.122 0.623
O: 0.679 0.378 0.123
O: 0.686 0.235 0.902
O: 0.686 0.265 0.402
O: 0.700 0.663 0.143
O: 0.700 0.837 0.643
O: 0.863 0.516 0.254
O: 0.863 0.984 0.754
O: 0.944 0.111 0.404
O: 0.944 0.389 0.904
O: 0.964 0.153 0.116
O: 0.964 0.347 0.616

Most intense lines, 10 to 90 degrees two-theta, sorted by position:
| Position (°2θ) | Rel. int. |
| --- | --- |
| 12.26 | 29 |
| 14.44 | 36 |
| 15.53 | 87 |
| 15.75 | 100 |
| 22.57 | 24 |
| 22.86 | 39 |
| 23.26 | 22 |
| 29.70 | 28 |

=====

What did the second record say?
For P3RuO9, a cell relaxed with PBE gives the theoretical PXRD pattern in this record (Cu Kα).
Kinematic intensities with the Lorentz-polarization factor, no thermal factor.

Crystal structure
Lattice parameters (Å, degrees): 7.453 7.453 9.551 122.39 122.39 52.38
Element x y z (fractional)
P: 0.051 0.949 0.750
P: 0.292 0.481 0.821
P: 0.481 0.292 0.321
P: 0.519 0.708 0.679
P: 0.708 0.519 0.179
P: 0.949 0.051 0.250
Ru: 0.000 0.500 0.000
Ru: 0.500 0.000 0.500
O: 0.035 0.167 0.908
O: 0.137 0.752 0.823
O: 0.147 0.406 0.823
O: 0.167 0.035 0.408
O: 0.248 0.863 0.677
O: 0.337 0.390 0.170
O: 0.390 0.337 0.670
O: 0.406 0.147 0.323
O: 0.500 0.500 0.000
O: 0.500 0.500 0.500
O: 0.594 0.853 0.677
O: 0.610 0.663 0.330
O: 0.663 0.610 0.830
O: 0.752 0.137 0.323
O: 0.833 0.965 0.592
O: 0.853 0.594 0.177
O: 0.863 0.248 0.177
O: 0.965 0.833 0.092

Most intense lines, 10 to 90 degrees two-theta, sorted by position:
| Position (°2θ) | Rel. int. |
| --- | --- |
| 16.42 | 35 |
| 18.78 | 18 |
| 22.38 | 100 |
| 25.55 | 26 |
| 26.88 | 13 |
| 31.49 | 21 |
| 31.91 | 18 |
| 36.00 | 16 |